Starting from DFT lattice parameters and positions (PBE), the powder X-ray diffraction pattern of Ba4GeH was simulated for a wavelength of 1.5418 Å.

Most intense lines, 10 to 80 degrees two-theta, most intense first:
2θ/deg  I (rel.)  hkl
28.4  100.0  1 1 -2
27.9  87.1  1 1 1
22.4  68.0  1 1 0
23.6  63.4  0 0 2
30.7  58.2  0 2 0
31.1  55.0  2 0 -1
22.6  47.5  1 1 -1
44.3  40.8  2 2 -1

a = 5.746 Å, b = 5.818 Å, c = 8.001 Å
α = 90.00°, β = 109.58°, γ = 90.00°
Space group P2 (No. 3)
Asymmetric unit:
Ba1 0.106 0.000 0.258 (multiplicity 2)
Ba2 0.367 0.479 0.739 (multiplicity 2)
Ge1 0.000 0.495 0.000 (multiplicity 1)
H1 0.000 0.259 0.500 (multiplicity 1)